Structure and calculated powder XRD pattern of Li4Ag2O5 (a GGA-PBE-relaxed structure; Cu Kα).
Peak positions follow from Bragg's law for the DFT cell and can differ from measured ones.

Cell and atoms:
Cell lengths 4.263, 12.839, 4.223 Å; angles 90.00, 90.00, 90.00 degrees
Space group Cmmm (No. 65)
One atom of each set of equivalent atoms:
Li1 0.000 0.000 0.000 [2 per cell]
Li2 0.000 0.184 0.500 [4 per cell]
Li3 0.000 0.500 0.500 [2 per cell]
Ag1 0.000 0.337 0.000 [4 per cell]
O1 0.000 0.157 0.000 [4 per cell]
O2 0.000 0.344 0.500 [4 per cell]
O3 0.000 0.500 0.000 [2 per cell]

Largest 10 diffraction maxima, sorted by position, 2θ = 5–70°:
- 2θ 13.79, d 6.420, I 59, hkl 0 2 0
- 2θ 21.04, d 4.223, I 100, hkl 0 0 1
- 2θ 21.97, d 4.046, I 57, hkl 1 1 0
- 2θ 29.58, d 3.020, I 62, hkl 1 3 0
- 2θ 30.60, d 2.921, I 23, hkl 1 1 1
- 2θ 36.58, d 2.457, I 47, hkl 1 3 1
- 2θ 42.23, d 2.140, I 29, hkl 0 6 0
- 2θ 42.41, d 2.131, I 30, hkl 2 0 0
- 2θ 42.83, d 2.112, I 30, hkl 0 0 2
- 2θ 52.91, d 1.731, I 23, hkl 1 3 2



Structure and calculated powder XRD pattern of Li2Ag2O5 (a GGA-PBE-relaxed structure; Cu Kα).
Peak positions follow from Bragg's law for the DFT cell and can differ from measured ones.

Cell and atoms:
Cell lengths 4.102, 4.102, 6.479 Å; angles 90.00, 90.00, 90.00 degrees
Space group P4/mmm (No. 123)
One atom of each set of equivalent atoms:
Li1 0.000 0.000 0.222 [2 per cell]
Ag1 0.500 0.500 0.000 [1 per cell]
Ag2 0.500 0.500 0.500 [1 per cell]
O1 0.000 0.000 0.500 [1 per cell]
O2 0.000 0.500 0.116 [4 per cell]

Largest 10 diffraction maxima, sorted by position, 2θ = 5–70°:
- 2θ 21.67, d 4.102, I 100, hkl 1 0 0
- 2θ 27.53, d 3.239, I 42, hkl 0 0 2
- 2θ 30.83, d 2.900, I 36, hkl 1 1 0
- 2θ 35.31, d 2.542, I 70, hkl 1 0 2
- 2θ 41.80, d 2.161, I 46, hkl 1 1 2
- 2θ 44.16, d 2.051, I 38, hkl 2 0 0
- 2θ 49.70, d 1.834, I 21, hkl 2 1 0
- 2θ 52.83, d 1.733, I 25, hkl 2 0 2
- 2θ 57.76, d 1.596, I 33, hkl 2 1 2
- 2θ 66.07, d 1.414, I 19, hkl 1 1 4



Structure and calculated powder XRD pattern of Li8Ag4O11 (a GGA-PBE-relaxed structure; Cu Kα).
Peak positions follow from Bragg's law for the DFT cell and can differ from measured ones.

Cell and atoms:
Cell lengths 5.110, 5.230, 9.168 Å; angles 83.00, 73.95, 79.03 degrees
Space group P1 (No. 1)
One atom of each set of equivalent atoms:
Li1 0.000 0.000 0.000 [1 per cell]
Li2 0.022 0.206 0.420 [1 per cell]
Li3 0.110 0.476 0.855 [1 per cell]
Li4 0.293 0.946 0.653 [1 per cell]
Li5 0.447 0.445 0.510 [1 per cell]
Li6 0.527 0.692 0.911 [1 per cell]
Li7 0.623 0.955 0.347 [1 per cell]
Li8 0.822 0.439 0.179 [1 per cell]
Ag1 0.224 0.709 0.245 [1 per cell]
Ag2 0.406 0.201 0.093 [1 per cell]
Ag3 0.716 0.205 0.755 [1 per cell]
Ag4 0.864 0.699 0.579 [1 per cell]
O1 0.038 0.079 0.208 [1 per cell]
O2 0.072 0.332 0.629 [1 per cell]
O3 0.133 0.639 0.052 [1 per cell]
O4 0.236 0.809 0.456 [1 per cell]
O5 0.369 0.087 0.893 [1 per cell]
O6 0.427 0.337 0.288 [1 per cell]
O7 0.502 0.573 0.714 [1 per cell]
O8 0.655 0.049 0.531 [1 per cell]
O9 0.754 0.349 0.990 [1 per cell]
O10 0.786 0.573 0.394 [1 per cell]
O11 0.925 0.831 0.774 [1 per cell]

Largest 10 diffraction maxima, sorted by position, 2θ = 5–70°:
- 2θ 18.47, d 4.803, I 100, hkl 1 0 1
- 2θ 19.41, d 4.572, I 23, hkl 0 1 1
- 2θ 20.71, d 4.289, I 20, hkl 0 1 -1
- 2θ 23.14, d 3.844, I 32, hkl 1 0 -1
- 2θ 34.13, d 2.627, I 21, hkl 0 1 3
- 2θ 34.78, d 2.579, I 21, hkl 1 1 -2
- 2θ 35.05, d 2.560, I 21, hkl 0 2 0
- 2θ 41.67, d 2.168, I 28, hkl 1 1 4
- 2θ 42.68, d 2.119, I 26, hkl 2 1 -1
- 2θ 43.29, d 2.090, I 28, hkl 1 -2 1